Diffraction record for NaZnSeO4. The PXRD pattern is computed, not measured: it uses a cell relaxed with PBE and Cu Kα X-rays.
Peak positions follow from Bragg's law for the DFT cell and can differ from measured ones.

Most intense lines, 10 to 90 degrees two-theta, most intense first:
2theta	intensity
20.1	100
32.5	89
60.3	26
56.7	24
40.1	19
34.4	17
49.4	17
51.2	16
36.8	10
65.4	9

Structural model:
```
data_NaZnSeO4
_cell_length_a 5.221
_cell_length_b 5.221
_cell_length_c 8.295
_cell_angle_alpha 90.00
_cell_angle_beta 90.00
_cell_angle_gamma 90.00
_space_group_name_H-M_alt 'I -4'
_space_group_IT_number 82
loop_
_space_group_symop_operation_xyz
'x,y,z'
'y,-x,-z'
'-x,-y,z'
'-y,x,-z'
'x+1/2,y+1/2,z+1/2'
'y+1/2,-x+1/2,-z+1/2'
'-x+1/2,-y+1/2,z+1/2'
'-y+1/2,x+1/2,-z+1/2'
loop_
_atom_site_label
_atom_site_type_symbol
_atom_site_fract_x
_atom_site_fract_y
_atom_site_fract_z
_atom_site_occupancy
Na1 Na 0.000 0.000 0.000 1
Zn1 Zn 0.000 0.500 0.750 1
Se1 Se 0.000 0.000 0.500 1
O1 O 0.171 0.235 0.617 1
```